[1]
Diffraction record for TmZnSn2. The powder diffraction line list is simulated, not measured: it uses a structure optimized by DFT (GGA-PBE) and Cu Kα X-rays.
Peak positions follow from Bragg's law for the DFT cell and can differ from measured ones.

Atomic structure:
```
TmZnSn2
1.0
4.341 0.000 0.000
0.000 4.341 0.000
0.000 0.000 9.792
Tm Zn Sn
2 2 4
Direct
0.250 0.250 0.250
0.750 0.750 0.750
0.250 0.750 0.000
0.750 0.250 0.000
0.250 0.250 0.811
0.250 0.750 0.500
0.750 0.250 0.500
0.750 0.750 0.189
```

The 10 most intense peaks (2θ = 10–90°), sorted by position:
34.38 deg, I 7; 34.49 deg, I 100; 36.71 deg, I 14; 41.61 deg, I 35; 50.53 deg, I 7; 51.17 deg, I 7; 56.68 deg, I 16; 60.31 deg, I 12; 71.36 deg, I 26; 72.72 deg, I 8

[2]
Diffraction record for Te2Ir. The powder diffraction line list is simulated, not measured: it uses a structure optimized by DFT (GGA-PBE) and Cu Kα X-rays.
Peak positions follow from Bragg's law for the DFT cell and can differ from measured ones.

Atomic structure:
```
Te2Ir
1.0
10.087 -2.033 0.000
10.087 2.033 0.000
-0.037 0.000 5.412
Te Ir
6 3
Direct
0.044 0.044 0.223
0.281 0.281 0.762
0.379 0.379 0.287
0.621 0.621 0.713
0.719 0.719 0.238
0.956 0.956 0.777
0.159 0.159 0.997
0.500 0.500 0.500
0.841 0.841 0.003
```

The 10 most intense peaks (2θ = 10–90°), sorted by position:
18.55 deg, I 29; 18.66 deg, I 21; 27.80 deg, I 79; 30.57 deg, I 100; 31.22 deg, I 52; 41.80 deg, I 21; 42.24 deg, I 57; 42.39 deg, I 58; 44.57 deg, I 43; 46.25 deg, I 65

[3]
Diffraction record for Cs2LiTmCl6. The powder diffraction line list is simulated, not measured: it uses a structure optimized by DFT (GGA-PBE) and Cu Kα X-rays.
Peak positions follow from Bragg's law for the DFT cell and can differ from measured ones.

Atomic structure:
```
Cs2LiTmCl6
1.0
0.000 5.287 5.287
5.287 0.000 5.287
5.287 5.287 0.000
Cs Li Tm Cl
2 1 1 6
Direct
0.250 0.250 0.250
0.750 0.750 0.750
0.000 0.000 0.000
0.500 0.500 0.500
0.253 0.253 0.747
0.253 0.747 0.253
0.253 0.747 0.747
0.747 0.253 0.253
0.747 0.253 0.747
0.747 0.747 0.253
```

The 10 most intense peaks (2θ = 10–90°), sorted by position:
14.51 deg, I 45; 23.80 deg, I 100; 27.98 deg, I 27; 29.26 deg, I 30; 33.91 deg, I 66; 41.85 deg, I 46; 48.71 deg, I 45; 54.91 deg, I 21; 66.12 deg, I 25; 81.39 deg, I 20

[4]
Diffraction record for Li6Sb3S. The powder diffraction line list is simulated, not measured: it uses a structure optimized by DFT (GGA-PBE) and Cu Kα X-rays.
Peak positions follow from Bragg's law for the DFT cell and can differ from measured ones.

Atomic structure:
```
Li6Sb3S
1.0
8.065 0.000 0.000
0.000 5.885 0.000
-7.550 0.000 8.872
Li Sb S
12 6 2
Direct
0.080 0.032 0.230
0.080 0.468 0.730
0.282 0.233 0.065
0.282 0.267 0.565
0.305 0.743 0.604
0.305 0.757 0.104
0.695 0.243 0.896
0.695 0.257 0.396
0.718 0.733 0.435
0.718 0.767 0.935
0.920 0.532 0.270
0.920 0.968 0.770
0.324 0.002 0.833
0.324 0.498 0.333
0.500 0.000 0.500
0.500 0.500 0.000
0.676 0.502 0.667
0.676 0.998 0.167
0.000 0.000 0.000
0.000 0.500 0.500
```

The 10 most intense peaks (2θ = 10–90°), sorted by position:
14.42 deg, I 68; 15.28 deg, I 73; 22.08 deg, I 100; 27.03 deg, I 69; 27.98 deg, I 52; 30.37 deg, I 47; 33.93 deg, I 53; 37.87 deg, I 58; 39.83 deg, I 35; 41.25 deg, I 28

[5]
Diffraction record for NaCu5C6. The powder diffraction line list is simulated, not measured: it uses a structure optimized by DFT (GGA-PBE) and Cu Kα X-rays.
Peak positions follow from Bragg's law for the DFT cell and can differ from measured ones.

Atomic structure:
```
NaCu5C6
1.0
7.374 0.000 0.000
0.000 10.881 0.000
0.000 0.000 7.212
Na Cu C
4 20 24
Direct
0.060 0.250 0.179
0.440 0.750 0.679
0.560 0.250 0.321
0.940 0.750 0.821
0.052 0.539 0.317
0.052 0.961 0.317
0.099 0.750 0.426
0.195 0.552 0.009
0.195 0.948 0.009
0.305 0.052 0.509
0.305 0.448 0.509
0.401 0.250 0.926
0.448 0.039 0.817
0.448 0.461 0.817
0.552 0.539 0.183
0.552 0.961 0.183
0.599 0.750 0.074
0.695 0.552 0.491
0.695 0.948 0.491
0.805 0.052 0.991
0.805 0.448 0.991
0.901 0.250 0.574
0.948 0.039 0.683
0.948 0.461 0.683
0.085 0.691 0.146
0.085 0.809 0.146
0.139 0.606 0.583
0.139 0.894 0.583
0.196 0.562 0.740
0.196 0.938 0.740
0.304 0.062 0.240
0.304 0.438 0.240
0.361 0.106 0.083
0.361 0.394 0.083
0.415 0.191 0.646
0.415 0.309 0.646
0.585 0.691 0.354
0.585 0.809 0.354
0.639 0.606 0.917
0.639 0.894 0.917
0.696 0.562 0.760
0.696 0.938 0.760
0.804 0.062 0.260
0.804 0.438 0.260
0.861 0.106 0.417
0.861 0.394 0.417
0.915 0.191 0.854
0.915 0.309 0.854
```

The 10 most intense peaks (2θ = 10–90°), sorted by position:
16.29 deg, I 100; 25.51 deg, I 63; 27.16 deg, I 39; 30.13 deg, I 61; 32.93 deg, I 31; 34.80 deg, I 41; 38.66 deg, I 56; 42.25 deg, I 33; 42.92 deg, I 59; 48.59 deg, I 31

[6]
Diffraction record for TlC4S4N. The powder diffraction line list is simulated, not measured: it uses a structure optimized by DFT (GGA-PBE) and Cu Kα X-rays.
Peak positions follow from Bragg's law for the DFT cell and can differ from measured ones.

Atomic structure:
```
TlC4S4N
1.0
6.784 0.000 0.000
-2.671 8.612 0.000
-0.679 -3.994 9.108
Tl C S N
2 8 8 2
Direct
0.162 0.357 0.419
0.838 0.643 0.581
0.038 0.276 0.746
0.067 0.229 0.894
0.135 0.848 0.253
0.153 0.375 0.688
0.847 0.625 0.312
0.865 0.152 0.747
0.933 0.771 0.106
0.962 0.724 0.254
0.323 0.847 0.731
0.373 0.736 0.893
0.409 0.517 0.775
0.425 0.734 0.556
0.575 0.266 0.444
0.591 0.483 0.225
0.627 0.264 0.107
0.677 0.153 0.269
0.096 0.900 0.133
0.904 0.100 0.867
```

The 10 most intense peaks (2θ = 10–90°), sorted by position:
11.22 deg, I 43; 11.52 deg, I 100; 18.17 deg, I 31; 22.05 deg, I 26; 22.96 deg, I 18; 25.93 deg, I 24; 26.39 deg, I 24; 27.85 deg, I 26; 30.06 deg, I 21; 39.32 deg, I 17